Starting from a DFT-relaxed cell (PBE, Alexandria), the PXRD pattern of ThNiTe2 was calculated for CuKα.
Lines closer than 0.1° are merged.

Main lines, by angle (5° ≤ 2θ ≤ 70°):
two_theta, I (rel.)
11.1, 100
25.3, 17
26.8, 28
31.2, 16
31.4, 23
32.0, 42
33.4, 61
40.4, 34
43.7, 16
46.2, 14
55.2, 18
63.0, 21

Structure:
Cell: 8.968 8.968 7.857 Å, 90.00 90.00 124.93°
Sites, in units of the cell vectors:
Th: 0.250 0.750 0.000
Th: 0.250 0.750 0.500
Th: 0.750 0.250 0.000
Th: 0.750 0.250 0.500
Ni: 0.064 0.436 0.250
Ni: 0.436 0.064 0.750
Ni: 0.564 0.936 0.250
Ni: 0.936 0.564 0.750
Te: 0.090 0.910 0.752
Te: 0.098 0.402 0.750
Te: 0.402 0.098 0.250
Te: 0.410 0.590 0.252
Te: 0.590 0.410 0.748
Te: 0.598 0.902 0.750
Te: 0.902 0.598 0.250
Te: 0.910 0.090 0.248